# Na5MnO5
Simulated powder diffraction line list, λ = 1.5418 Å (Cu Kα). Input: a crystal structure in the Materials Project, relaxed with PBE+U.

Top 10 peaks for 5 to 70 degrees two-theta, by angle:
Position (°2θ)	I (rel.)
17.25	70
19.87	87
22.05	89
33.32	54
33.77	56
35.48	81
40.03	100
41.07	66
49.58	48
54.55	36

Cell and atoms:
```
data_Na5MnO5
_chemical_formula_sum 'Na20 Mn4 O20'
_cell_length_a 6.2373
_cell_length_b 10.1205
_cell_length_c 9.9507
_cell_angle_alpha 90.00
_cell_angle_beta 106.85
_cell_angle_gamma 90.00
_symmetry_space_group_name_H-M 'C 1 2/c 1'
_symmetry_Int_Tables_number 15
loop_
_symmetry_equiv_pos_as_xyz
'x,y,z'
'-x,-y,-z'
'-x,y,-z+1/2'
'x,-y,z+1/2'
'x+1/2,y+1/2,z'
'-x+1/2,-y+1/2,-z'
'-x+1/2,y+1/2,-z+1/2'
'x+1/2,-y+1/2,z+1/2'
loop_
_atom_site_label
_atom_site_fract_x
_atom_site_fract_y
_atom_site_fract_z
Na1 0.0000 0.1619 0.2500
Na2 0.1706 0.1109 0.5551
Na3 0.1733 0.3447 0.0802
Mn1 0.0000 0.4048 0.7500
O1 0.0000 0.4193 0.2500
O2 0.1211 0.3279 0.6275
O3 0.2045 0.1057 0.1069
```